Entry 1:
Structure and calculated powder XRD pattern of K3TiCl6 (a cell relaxed with PBE; Cu Kα (λ = 1.5418 Å)).

Structure:
Lattice parameters (Å, degrees): 7.3298 7.7165 12.8012 90.00 124.60 90.00
Space group P2_1/c (No. 14)
Symmetry-distinct sites (fractional):
K 0.0000 0.0000 0.0000 [2 per cell]
K 0.2763 0.0728 0.7506 [4 per cell]
Ti 0.5000 0.0000 0.5000 [2 per cell]
Cl 0.1728 0.0374 0.2830 [4 per cell]
Cl 0.2813 0.6717 0.0522 [4 per cell]
Cl 0.4014 0.2336 0.0626 [4 per cell]

Main lines, by angle (2θ from 10° to 90°):
2θ 14.2, intensity 366, (0 1 1)
2θ 14.7, intensity 349, (1 0 0)
2θ 16.7, intensity 442, (1 1 -1)
2θ 23.8, intensity 1000, (1 1 -3)
2θ 27.5, intensity 307, (1 2 0)
2θ 28.2, intensity 938, (1 0 -4)
2θ 28.7, intensity 296, (0 2 2)
2θ 31.2, intensity 327, (1 2 -3)
2θ 33.7, intensity 827, (2 2 -2)
2θ 34.0, intensity 480, (0 0 4)
2θ 38.0, intensity 846, (1 3 -2)
2θ 42.5, intensity 509, (3 1 -5)

Entry 2:
Structure and calculated powder XRD pattern of KTiCl3 (a cell relaxed with PBE; Cu Kα (λ = 1.5418 Å)).

Structure:
Lattice parameters (Å, degrees): 12.6763 12.6763 5.5798 90.00 90.00 120.00
Space group P6_3 (No. 173)
Symmetry-distinct sites (fractional):
K 0.0046 0.3333 0.0000 [6 per cell]
Ti 0.0000 0.0000 0.2335 [2 per cell]
Ti 0.3333 0.6667 0.2850 [2 per cell]
Ti 0.3333 0.6667 0.7360 [2 per cell]
Cl 0.0368 0.8551 0.9834 [6 per cell]
Cl 0.1559 0.6266 0.0109 [6 per cell]
Cl 0.1890 0.4793 0.5105 [6 per cell]

Main lines, by angle (2θ from 10° to 90°):
2θ 14.0, intensity 764, (1 1 0)
2θ 24.3, intensity 201, (3 0 0)
2θ 29.2, intensity 290, (3 0 1)
2θ 32.1, intensity 147, (0 0 2)
2θ 32.5, intensity 1000, (2 2 1)
2θ 35.1, intensity 146, (1 1 2)
2θ 42.8, intensity 152, (3 3 0)
2θ 43.2, intensity 410, (2 2 2)
2θ 49.8, intensity 211, (6 0 0)
2θ 50.2, intensity 206, (1 4 2)
2θ 52.0, intensity 145, (5 2 0)
2θ 57.4, intensity 151, (2 2 3)

- Number 2 is which compound?
  KTiCl3